[1]
For AlC6N, a cell relaxed with GGA-PBE gives the simulated X-ray diffraction stick pattern in this record (Cu Kα X-rays).
No peak broadening, texture or thermal motion is included.

Peak list (12 most intense, 10° ≤ 2θ ≤ 90°, in order of rising 2θ)
2θ (°)	I_rel
17.8	100.0
20.1	52.9
25.4	17.6
27.1	83.5
28.7	14.8
29.8	21.3
34.0	25.1
41.0	17.4
46.7	17.7
48.0	6.2
55.0	14.7
55.2	7.8

Atomic structure:
a = 6.9676 Å, b = 9.9857 Å, c = 6.9423 Å
α = 90.00°, β = 90.00°, γ = 90.00°
Fractional coordinates of all 32 atoms:
Al 0.1759 0.2500 0.1032
Al 0.3241 0.7500 0.6032
Al 0.6759 0.2500 0.3968
Al 0.8241 0.7500 0.8968
C 0.0260 0.7500 0.6762
C 0.1042 0.2500 0.6622
C 0.1333 0.1367 0.7854
C 0.1333 0.3633 0.7854
C 0.1627 0.0838 0.9455
C 0.1627 0.4162 0.9455
C 0.3373 0.5838 0.4455
C 0.3373 0.9162 0.4455
C 0.3667 0.6367 0.2854
C 0.3667 0.8633 0.2854
C 0.3958 0.7500 0.1622
C 0.4740 0.2500 0.1762
C 0.5260 0.7500 0.8238
C 0.6042 0.2500 0.8378
C 0.6333 0.1367 0.7146
C 0.6333 0.3633 0.7146
C 0.6627 0.0838 0.5545
C 0.6627 0.4162 0.5545
C 0.8373 0.5838 0.0545
C 0.8373 0.9162 0.0545
C 0.8667 0.6367 0.2146
C 0.8667 0.8633 0.2146
C 0.8958 0.7500 0.3378
C 0.9740 0.2500 0.3238
N 0.0483 0.2500 0.4858
N 0.4517 0.7500 0.9858
N 0.5483 0.2500 0.0142
N 0.9517 0.7500 0.5142

[2]
For U2Br2N, a cell relaxed with GGA-PBE gives the simulated X-ray diffraction stick pattern in this record (Cu Kα X-rays).
No peak broadening, texture or thermal motion is included.

Peak list (12 most intense, 10° ≤ 2θ ≤ 90°, in order of rising 2θ)
2θ (°)	I_rel
13.2	16.7
25.0	100.0
25.9	16.2
26.6	24.8
32.2	17.1
35.7	40.1
36.9	43.1
45.1	24.7
48.1	22.8
55.0	15.4
57.9	20.0
64.8	17.4

Atomic structure:
a = 3.5612 Å, b = 3.5612 Å, c = 13.3821 Å
α = 90.00°, β = 90.00°, γ = 90.00°
Fractional coordinates of all 5 atoms:
U 0.0000 0.0000 0.1489
U 0.0000 0.0000 0.8511
Br 0.0000 0.0000 0.3460
Br 0.0000 0.0000 0.6540
N 0.0000 0.0000 0.0000

[3]
For Sr4CeNd3Nb2Cu4O20, a cell relaxed with GGA-PBE gives the simulated X-ray diffraction stick pattern in this record (Cu Kα X-rays).
No peak broadening, texture or thermal motion is included.

Peak list (12 most intense, 10° ≤ 2θ ≤ 90°, in order of rising 2θ)
2θ (°)	I_rel
24.3	16.6
31.2	100.0
32.0	42.1
43.6	10.5
45.0	11.6
45.9	31.1
55.1	14.2
56.6	36.7
65.2	11.7
67.0	10.8
75.7	7.7
76.2	9.0

Atomic structure:
a = 5.5902 Å, b = 14.7992 Å, c = 14.7992 Å
α = 21.77°, β = 90.00°, γ = 90.00°
Fractional coordinates of all 34 atoms:
Sr 0.0000 0.0000 0.0000
Sr 0.0000 0.1628 0.1628
Sr 0.5000 0.4992 0.4992
Sr 0.5000 0.6628 0.6628
Ce 0.5000 0.3730 0.3730
Nd 0.0000 0.2868 0.2868
Nd 0.0000 0.8760 0.8760
Nd 0.5000 0.7869 0.7869
Nb 0.0000 0.5811 0.5811
Nb 0.5000 0.0811 0.0811
Cu 0.0000 0.4384 0.4384
Cu 0.0000 0.7235 0.7235
Cu 0.5000 0.2234 0.2234
Cu 0.5000 0.9383 0.9383
O 0.0000 0.5126 0.5126
O 0.0000 0.6492 0.6492
O 0.2499 0.3308 0.8311
O 0.2496 0.4783 0.9779
O 0.2499 0.8311 0.3308
O 0.2496 0.9779 0.4783
O 0.2530 0.1856 0.6809
O 0.2530 0.6809 0.1856
O 0.2561 0.0887 0.5764
O 0.2561 0.5764 0.0887
O 0.5000 0.0127 0.0127
O 0.5000 0.1493 0.1493
O 0.7439 0.0887 0.5764
O 0.7439 0.5764 0.0887
O 0.7470 0.1856 0.6809
O 0.7470 0.6809 0.1856
O 0.7501 0.3308 0.8311
O 0.7504 0.4783 0.9779
O 0.7501 0.8311 0.3308
O 0.7504 0.9779 0.4783

[4]
For FeP4, a cell relaxed with GGA-PBE gives the simulated X-ray diffraction stick pattern in this record (Cu Kα X-rays).
No peak broadening, texture or thermal motion is included.

Peak list (12 most intense, 10° ≤ 2θ ≤ 90°, in order of rising 2θ)
2θ (°)	I_rel
21.0	34.8
25.1	13.4
32.3	58.0
32.4	100.0
39.6	21.0
45.2	17.9
50.3	17.2
52.4	50.0
52.7	20.2
56.0	10.8
60.7	12.1
63.2	11.6

Atomic structure:
a = 5.7880 Å, b = 5.7880 Å, c = 11.0940 Å
α = 90.42°, β = 90.42°, γ = 128.20°
Fractional coordinates of all 20 atoms:
Fe 0.0000 0.5000 0.5000
Fe 0.0759 0.9241 0.7500
Fe 0.5000 0.0000 0.0000
Fe 0.9241 0.0759 0.2500
P 0.0550 0.8685 0.9500
P 0.0660 0.5302 0.2930
P 0.1315 0.9450 0.5500
P 0.2263 0.3708 0.7841
P 0.3368 0.5432 0.9759
P 0.3708 0.2263 0.2841
P 0.4568 0.6632 0.5241
P 0.4698 0.9340 0.2070
P 0.5302 0.0660 0.7930
P 0.5432 0.3368 0.4759
P 0.6292 0.7737 0.7159
P 0.6632 0.4568 0.0241
P 0.7737 0.6292 0.2159
P 0.8685 0.0550 0.4500
P 0.9340 0.4698 0.7070
P 0.9450 0.1315 0.0500